[1]
For CaCoAsO5, a structure optimized by DFT (GGA+U) gives the simulated powder diffractogram in this record (Cu Kα (λ = 1.5418 Å)).
Intensities are scaled so that the largest is 100.

Most intense lines, 2θ from 10° to 80°, by angle:
15.26°, I 34
18.17°, I 28
21.61°, I 34
27.96°, I 81
30.77°, I 35
32.20°, I 68
34.48°, I 100
35.79°, I 39
36.80°, I 27
57.12°, I 54

Atomic structure:
```
data_CaCoAsO5
_chemical_formula_sum 'Ca4 Co4 As4 O20'
_space_group_name_H-M_alt 'P 1'
_space_group_IT_number 1
_cell_length_a 5.823
_cell_length_b 7.630
_cell_length_c 8.955
_cell_angle_alpha 90.00
_cell_angle_beta 90.00
_cell_angle_gamma 90.00
loop_
_space_group_symop_operation_xyz
'x,y,z'
loop_
_atom_site_label
_atom_site_fract_x
_atom_site_fract_y
_atom_site_fract_z
Ca1 0.025 0.145 0.168
Ca2 0.475 0.855 0.668
Ca3 0.525 0.355 0.832
Ca4 0.975 0.645 0.332
Co1 0.246 0.253 0.501
Co2 0.254 0.747 0.001
Co3 0.746 0.247 0.499
Co4 0.754 0.753 0.999
As1 0.016 0.611 0.687
As2 0.484 0.389 0.187
As3 0.516 0.889 0.313
As4 0.984 0.111 0.813
O1 0.003 0.136 0.430
O2 0.009 0.930 0.933
O3 0.084 0.778 0.570
O4 0.242 0.135 0.720
O5 0.247 0.403 0.304
O6 0.253 0.597 0.804
O7 0.258 0.865 0.220
O8 0.416 0.222 0.070
O9 0.491 0.070 0.433
O10 0.497 0.864 0.930
O11 0.503 0.364 0.570
O12 0.509 0.570 0.067
O13 0.584 0.722 0.430
O14 0.742 0.365 0.280
O15 0.747 0.097 0.696
O16 0.753 0.903 0.196
O17 0.758 0.635 0.780
O18 0.916 0.278 0.930
O19 0.991 0.430 0.567
O20 0.997 0.636 0.070
```

[2]
For ZnW4O8, a structure optimized by DFT (GGA+U) gives the simulated powder diffractogram in this record (Cu Kα (λ = 1.5418 Å)).
Intensities are scaled so that the largest is 100.

Most intense lines, 2θ from 10° to 80°, by angle:
11.66°, I 89
16.45°, I 41
16.60°, I 44
26.18°, I 98
26.35°, I 100
32.46°, I 72
32.76°, I 66
33.08°, I 70
33.42°, I 65
43.83°, I 31

Atomic structure:
```
data_ZnW4O8
_chemical_formula_sum 'Zn1 W4 O8'
_space_group_name_H-M_alt 'P 1'
_space_group_IT_number 1
_cell_length_a 3.303
_cell_length_b 7.704
_cell_length_c 7.775
_cell_angle_alpha 88.26
_cell_angle_beta 77.80
_cell_angle_gamma 79.46
loop_
_space_group_symop_operation_xyz
'x,y,z'
loop_
_atom_site_label
_atom_site_fract_x
_atom_site_fract_y
_atom_site_fract_z
Zn1 0.000 0.000 0.000
W1 0.202 0.520 0.174
W2 0.407 0.827 0.501
W3 0.743 0.196 0.477
W4 0.896 0.501 0.804
O1 0.046 0.707 0.372
O2 0.106 0.313 0.608
O3 0.365 0.061 0.363
O4 0.371 0.385 0.935
O5 0.420 0.632 0.689
O6 0.708 0.636 0.043
O7 0.723 0.387 0.287
O8 0.784 0.961 0.616
```

[3]
For Co2Bi11O20, a structure optimized by DFT (GGA+U) gives the simulated powder diffractogram in this record (Cu Kα (λ = 1.5418 Å)).
Intensities are scaled so that the largest is 100.

Most intense lines, 2θ from 10° to 80°, by angle:
24.46°, I 26
27.21°, I 33
27.51°, I 100
27.79°, I 39
28.15°, I 40
29.85°, I 22
30.35°, I 23
32.56°, I 26
32.89°, I 41
51.78°, I 22

Atomic structure:
```
data_Co2Bi11O20
_chemical_formula_sum 'Co2 Bi11 O20'
_space_group_name_H-M_alt 'P 1'
_space_group_IT_number 1
_cell_length_a 8.742
_cell_length_b 8.835
_cell_length_c 8.841
_cell_angle_alpha 110.53
_cell_angle_beta 108.70
_cell_angle_gamma 107.96
loop_
_space_group_symop_operation_xyz
'x,y,z'
loop_
_atom_site_label
_atom_site_fract_x
_atom_site_fract_y
_atom_site_fract_z
Co1 0.000 0.000 0.000
Co2 0.199 0.923 0.696
Bi1 0.013 0.389 0.316
Bi2 0.054 0.620 0.865
Bi3 0.331 0.221 0.489
Bi4 0.344 0.391 0.961
Bi5 0.383 0.767 0.361
Bi6 0.489 0.058 0.153
Bi7 0.514 0.737 0.799
Bi8 0.693 0.565 0.471
Bi9 0.699 0.210 0.828
Bi10 0.845 0.702 0.173
Bi11 0.898 0.098 0.524
O1 0.024 0.965 0.751
O2 0.079 0.140 0.267
O3 0.173 0.918 0.482
O4 0.193 0.296 0.659
O5 0.193 0.920 0.070
O6 0.207 0.717 0.686
O7 0.314 0.649 0.024
O8 0.416 0.120 0.886
O9 0.423 0.516 0.540
O10 0.465 0.291 0.289
O11 0.545 0.028 0.408
O12 0.569 0.512 0.924
O13 0.575 0.666 0.308
O14 0.577 0.902 0.662
O15 0.808 0.509 0.277
O16 0.812 0.779 0.898
O17 0.832 0.262 0.398
O18 0.862 0.165 0.026
O19 0.928 0.285 0.768
O20 0.964 0.555 0.056
```

[4]
For NaVN2F6, a structure optimized by DFT (GGA+U) gives the simulated powder diffractogram in this record (Cu Kα (λ = 1.5418 Å)).
Intensities are scaled so that the largest is 100.

Most intense lines, 2θ from 10° to 80°, by angle:
18.14°, I 67
20.98°, I 100
29.84°, I 50
36.76°, I 13
42.71°, I 71
48.05°, I 29
56.46°, I 17
61.99°, I 32
66.21°, I 13
70.30°, I 11

Atomic structure:
```
data_NaVN2F6
_chemical_formula_sum 'Na1 V1 N2 F6'
_space_group_name_H-M_alt 'P 1'
_space_group_IT_number 1
_cell_length_a 5.988
_cell_length_b 5.988
_cell_length_c 5.988
_cell_angle_alpha 60.00
_cell_angle_beta 60.00
_cell_angle_gamma 60.00
loop_
_space_group_symop_operation_xyz
'x,y,z'
loop_
_atom_site_label
_atom_site_fract_x
_atom_site_fract_y
_atom_site_fract_z
Na1 0.000 0.000 0.000
V1 0.500 0.500 0.500
N1 0.250 0.250 0.250
N2 0.750 0.750 0.750
F1 0.285 0.285 0.715
F2 0.285 0.715 0.285
F3 0.285 0.715 0.715
F4 0.715 0.285 0.285
F5 0.715 0.285 0.715
F6 0.715 0.715 0.285
```

[5]
For CsCrClO3, a structure optimized by DFT (GGA+U) gives the simulated powder diffractogram in this record (Cu Kα (λ = 1.5418 Å)).
Intensities are scaled so that the largest is 100.

Most intense lines, 2θ from 10° to 80°, by angle:
19.43°, I 53
21.55°, I 52
22.55°, I 38
24.64°, I 100
28.81°, I 42
31.57°, I 28
33.14°, I 34
34.31°, I 28
36.09°, I 20
36.26°, I 38

Atomic structure:
```
data_CsCrClO3
_chemical_formula_sum 'Cs4 Cr4 Cl4 O12'
_space_group_name_H-M_alt 'P 1'
_space_group_IT_number 1
_cell_length_a 10.222
_cell_length_b 6.197
_cell_length_c 9.012
_cell_angle_alpha 90.00
_cell_angle_beta 90.00
_cell_angle_gamma 90.00
loop_
_space_group_symop_operation_xyz
'x,y,z'
loop_
_atom_site_label
_atom_site_fract_x
_atom_site_fract_y
_atom_site_fract_z
Cs1 0.207 0.250 0.118
Cs2 0.293 0.750 0.618
Cs3 0.707 0.250 0.382
Cs4 0.793 0.750 0.882
Cr1 0.017 0.250 0.737
Cr2 0.483 0.750 0.237
Cr3 0.517 0.250 0.763
Cr4 0.983 0.750 0.263
Cl1 0.109 0.250 0.517
Cl2 0.391 0.750 0.017
Cl3 0.609 0.250 0.983
Cl4 0.891 0.750 0.483
O1 0.062 0.034 0.826
O2 0.062 0.466 0.826
O3 0.141 0.750 0.285
O4 0.359 0.250 0.785
O5 0.438 0.534 0.326
O6 0.438 0.966 0.326
O7 0.562 0.034 0.674
O8 0.562 0.466 0.674
O9 0.641 0.750 0.215
O10 0.859 0.250 0.715
O11 0.938 0.534 0.174
O12 0.938 0.966 0.174
```

[6]
For CoNiO2, a structure optimized by DFT (GGA+U) gives the simulated powder diffractogram in this record (Cu Kα (λ = 1.5418 Å)).
Intensities are scaled so that the largest is 100.

Most intense lines, 2θ from 10° to 80°, by angle:
36.63°, I 100
42.41°, I 92
42.84°, I 45
61.53°, I 27
61.86°, I 52
73.79°, I 26
74.39°, I 13
77.88°, I 24

Atomic structure:
```
data_CoNiO2
_chemical_formula_sum 'Co1 Ni1 O2'
_space_group_name_H-M_alt 'P 1'
_space_group_IT_number 1
_cell_length_a 3.014
_cell_length_b 3.014
_cell_length_c 4.222
_cell_angle_alpha 90.00
_cell_angle_beta 90.00
_cell_angle_gamma 90.00
loop_
_space_group_symop_operation_xyz
'x,y,z'
loop_
_atom_site_label
_atom_site_fract_x
_atom_site_fract_y
_atom_site_fract_z
Co1 0.000 0.000 0.000
Ni1 0.500 0.500 0.500
O1 0.000 0.000 0.500
O2 0.500 0.500 0.000
```

[7]
For Li2Mn2CrO6, a structure optimized by DFT (GGA+U) gives the simulated powder diffractogram in this record (Cu Kα (λ = 1.5418 Å)).
Intensities are scaled so that the largest is 100.

Most intense lines, 2θ from 10° to 80°, by angle:
17.33°, I 100
34.25°, I 8
36.20°, I 26
38.63°, I 17
39.38°, I 8
44.26°, I 32
49.83°, I 12
57.68°, I 18
62.61°, I 15
74.81°, I 8

Atomic structure:
```
data_Li2Mn2CrO6
_chemical_formula_sum 'Li4 Mn4 Cr2 O12'
_space_group_name_H-M_alt 'P 1'
_space_group_IT_number 1
_cell_length_a 10.236
_cell_length_b 5.117
_cell_length_c 5.117
_cell_angle_alpha 61.54
_cell_angle_beta 90.00
_cell_angle_gamma 90.00
loop_
_space_group_symop_operation_xyz
'x,y,z'
loop_
_atom_site_label
_atom_site_fract_x
_atom_site_fract_y
_atom_site_fract_z
Li1 0.248 0.128 0.872
Li2 0.252 0.628 0.372
Li3 0.748 0.372 0.628
Li4 0.752 0.872 0.128
Mn1 0.000 0.584 0.584
Mn2 0.000 0.910 0.910
Mn3 0.500 0.084 0.084
Mn4 0.500 0.410 0.410
Cr1 0.000 0.243 0.243
Cr2 0.500 0.743 0.743
O1 0.096 0.583 0.911
O2 0.100 0.247 0.589
O3 0.111 0.934 0.201
O4 0.389 0.434 0.701
O5 0.400 0.747 0.089
O6 0.404 0.083 0.411
O7 0.596 0.411 0.083
O8 0.600 0.089 0.747
O9 0.611 0.701 0.434
O10 0.889 0.201 0.934
O11 0.900 0.589 0.247
O12 0.904 0.911 0.583
```

[8]
For LiFeP4O12, a structure optimized by DFT (GGA+U) gives the simulated powder diffractogram in this record (Cu Kα (λ = 1.5418 Å)).
Intensities are scaled so that the largest is 100.

Most intense lines, 2θ from 10° to 80°, by angle:
10.53°, I 45
14.55°, I 100
17.44°, I 42
18.63°, I 22
22.62°, I 50
25.00°, I 27
26.45°, I 18
29.05°, I 16
33.78°, I 15
34.23°, I 20

Atomic structure:
```
data_LiFeP4O12
_chemical_formula_sum 'Li2 Fe2 P8 O24'
_space_group_name_H-M_alt 'P 1'
_space_group_IT_number 1
_cell_length_a 10.470
_cell_length_b 10.470
_cell_length_c 5.224
_cell_angle_alpha 97.89
_cell_angle_beta 97.89
_cell_angle_gamma 71.08
loop_
_space_group_symop_operation_xyz
'x,y,z'
loop_
_atom_site_label
_atom_site_fract_x
_atom_site_fract_y
_atom_site_fract_z
Li1 0.076 0.076 0.077
Li2 0.924 0.924 0.923
Fe1 0.000 0.500 0.500
Fe2 0.500 0.000 0.500
P1 0.132 0.716 0.323
P2 0.199 0.442 0.035
P3 0.284 0.868 0.677
P4 0.442 0.199 0.035
P5 0.558 0.801 0.965
P6 0.716 0.132 0.323
P7 0.801 0.558 0.965
P8 0.868 0.284 0.677
O1 0.052 0.668 0.488
O2 0.061 0.835 0.179
O3 0.107 0.407 0.195
O4 0.165 0.939 0.821
O5 0.169 0.427 0.745
O6 0.211 0.590 0.126
O7 0.264 0.736 0.500
O8 0.332 0.948 0.512
O9 0.354 0.354 0.109
O10 0.407 0.107 0.195
O11 0.410 0.789 0.874
O12 0.427 0.169 0.745
O13 0.573 0.831 0.255
O14 0.590 0.211 0.126
O15 0.593 0.893 0.805
O16 0.646 0.646 0.891
O17 0.668 0.052 0.488
O18 0.736 0.264 0.500
O19 0.789 0.410 0.874
O20 0.831 0.573 0.255
O21 0.835 0.061 0.179
O22 0.893 0.593 0.805
O23 0.939 0.165 0.821
O24 0.948 0.332 0.512
```